(1)
Diffraction record for Ce2DyHo7. The powder diffractogram is computed, not measured: it uses a crystal structure in Alexandria, relaxed with GGA-PBE and λ = 1.5418 Å (Cu Kα).
Lines closer than 0.1° are merged.

Cell and atoms:
```
Ce2DyHo7
1.0
9.0049 -2.6897 0.0000
9.0049 2.6897 0.0000
-2.7040 0.0000 6.4399
Ce Dy Ho
2 1 7
Cartesian
3.0373 0.0000 1.2797
12.2684 0.0000 5.1602
-1.3520 0.0000 3.2200
0.0000 0.0000 0.0000
1.7339 0.0000 4.5221
6.6904 0.0000 0.9258
5.3399 0.0000 4.1324
9.9658 0.0000 2.3076
8.6153 0.0000 5.5141
13.5718 0.0000 1.9178
```

Top 6 peaks for 10° ≤ 2θ ≤ 80°, low angle first:
31.00°, d = 2.885 Å, I = 90
31.66°, d = 2.826 Å, I = 100
33.31°, d = 2.690 Å, I = 45
33.53°, d = 2.672 Å, I = 43
47.99°, d = 1.896 Å, I = 31
59.18°, d = 1.561 Å, I = 18

=====

(2)
Diffraction record for Li2FePt9. The powder diffractogram is computed, not measured: it uses a crystal structure in Alexandria, relaxed with GGA-PBE and λ = 1.5418 Å (Cu Kα).
Lines closer than 0.1° are merged.

Cell and atoms:
```
Li2FePt9
1.0
3.8938 0.0000 0.0000
0.0000 3.8938 0.0000
0.0000 0.0000 11.6680
Li Fe Pt
2 1 9
Cartesian
0.0000 0.0000 1.9242
0.0000 0.0000 9.7438
0.0000 0.0000 5.8340
0.0000 1.9469 0.0000
0.0000 1.9469 3.8924
0.0000 1.9469 7.7756
1.9469 0.0000 0.0000
1.9469 0.0000 3.8924
1.9469 0.0000 7.7756
1.9469 1.9469 1.9390
1.9469 1.9469 5.8340
1.9469 1.9469 9.7290
```

Top 6 peaks for 10° ≤ 2θ ≤ 80°, low angle first:
22.85°, d = 3.892 Å, I = 25
32.53°, d = 2.752 Å, I = 21
40.13°, d = 2.247 Å, I = 100
46.67°, d = 1.946 Å, I = 49
52.58°, d = 1.741 Å, I = 11
68.14°, d = 1.376 Å, I = 32

=====

(3)
Diffraction record for CaNd15Dy4. The powder diffractogram is computed, not measured: it uses a crystal structure in Alexandria, relaxed with GGA-PBE and λ = 1.5418 Å (Cu Kα).
Lines closer than 0.1° are merged.

Cell and atoms:
```
CaNd15Dy4
1.0
5.1850 0.0000 0.0000
0.0000 5.1850 0.0000
0.0000 0.0000 25.8154
Ca Nd Dy
1 15 4
Cartesian
0.0000 0.0000 0.0000
0.0000 2.5925 2.6770
0.0000 2.5925 7.7790
0.0000 2.5925 12.9077
0.0000 2.5925 18.0364
0.0000 2.5925 23.1384
2.5925 0.0000 2.6770
2.5925 0.0000 7.7790
2.5925 0.0000 12.9077
2.5925 0.0000 18.0364
2.5925 0.0000 23.1384
2.5925 2.5925 0.0000
2.5925 2.5925 5.1944
2.5925 2.5925 10.3331
2.5925 2.5925 15.4823
2.5925 2.5925 20.6210
0.0000 0.0000 5.1962
0.0000 0.0000 10.3430
0.0000 0.0000 15.4725
0.0000 0.0000 20.6192
```

Top 6 peaks for 10° ≤ 2θ ≤ 80°, low angle first:
29.89°, d = 2.989 Å, I = 100
34.60°, d = 2.593 Å, I = 34
34.75°, d = 2.582 Å, I = 17
49.85°, d = 1.829 Å, I = 24
59.12°, d = 1.563 Å, I = 29
59.32°, d = 1.558 Å, I = 14